[1]
Starting from DFT lattice parameters and positions (PBE), the X-ray diffraction stick pattern of ZrGe4Se3 was calculated for a wavelength of 1.5418 Å.
Neutral-atom scattering factors, no anomalous dispersion.

The 6 most intense peaks (10° ≤ 2θ ≤ 90°), most intense first:
d (Å)	I/Imax
2.643	100
3.000	50
2.310	39
3.021	31
1.792	28
2.742	27

Atomic structure:
Cell: 6.0167 3.5833 8.6438 Å, 90.00 105.50 90.00°
Sites, in units of the cell vectors:
Zr 0.0000 0.0000 0.0000
Ge 0.2048 0.0000 0.6202
Ge 0.3911 0.5000 0.0770
Ge 0.6513 0.0000 0.2942
Ge 0.9515 0.5000 0.7346
Se 0.0236 0.5000 0.2428
Se 0.5308 0.0000 0.8851
Se 0.5934 0.5000 0.5117


[2]
Starting from DFT lattice parameters and positions (PBE), the X-ray diffraction stick pattern of TbSiTc4Ge was calculated for a wavelength of 1.5418 Å.
Neutral-atom scattering factors, no anomalous dispersion.

The 6 most intense peaks (10° ≤ 2θ ≤ 90°), most intense first:
d (Å)	I/Imax
2.466	100
2.058	25
2.043	24
2.019	23
1.450	16
2.665	15

Atomic structure:
Cell: 4.0861 4.1159 14.0608 Å, 90.00 90.00 90.00°
Sites, in units of the cell vectors:
Tb 0.0000 0.0000 0.0000
Tb 0.0000 0.5000 0.5000
Si 0.5000 0.0000 0.4122
Si 0.5000 0.5000 0.9122
Tc 0.0000 0.0000 0.3095
Tc 0.0000 0.0000 0.7017
Tc 0.0000 0.5000 0.2017
Tc 0.0000 0.5000 0.8095
Tc 0.5000 0.0000 0.1953
Tc 0.5000 0.0000 0.8158
Tc 0.5000 0.5000 0.3158
Tc 0.5000 0.5000 0.6953
Ge 0.5000 0.0000 0.5873
Ge 0.5000 0.5000 0.0873


[3]
Starting from DFT lattice parameters and positions (PBE), the X-ray diffraction stick pattern of TbSiGeW4 was calculated for a wavelength of 1.5418 Å.
Neutral-atom scattering factors, no anomalous dispersion.

The 6 most intense peaks (10° ≤ 2θ ≤ 90°), most intense first:
d (Å)	I/Imax
2.415	100
8.093	38
2.180	24
2.074	23
2.698	19
1.299	16

Atomic structure:
Cell: 3.4394 4.3605 16.1869 Å, 90.00 90.00 90.00°
Sites, in units of the cell vectors:
Tb 0.0000 0.0000 0.0000
Tb 0.0000 0.5000 0.5000
Si 0.5000 0.0000 0.4260
Si 0.5000 0.5000 0.9260
Ge 0.5000 0.0000 0.5750
Ge 0.5000 0.5000 0.0750
W 0.0000 0.0000 0.3151
W 0.0000 0.0000 0.6928
W 0.0000 0.5000 0.1928
W 0.0000 0.5000 0.8151
W 0.5000 0.0000 0.1789
W 0.5000 0.0000 0.8280
W 0.5000 0.5000 0.3280
W 0.5000 0.5000 0.6789


[4]
Starting from DFT lattice parameters and positions (PBE), the X-ray diffraction stick pattern of Si2Tc2Ge was calculated for a wavelength of 1.5418 Å.
Neutral-atom scattering factors, no anomalous dispersion.

The 6 most intense peaks (10° ≤ 2θ ≤ 90°), most intense first:
d (Å)	I/Imax
2.044	100
2.652	93
2.390	55
2.240	53
1.303	44
1.690	43

Atomic structure:
Cell: 3.3802 3.3802 12.8314 Å, 90.00 90.00 90.00°
Sites, in units of the cell vectors:
Si 0.0000 0.5000 0.2500
Si 0.0000 0.5000 0.7500
Si 0.5000 0.0000 0.2500
Si 0.5000 0.0000 0.7500
Tc 0.0000 0.0000 0.1106
Tc 0.0000 0.0000 0.8894
Tc 0.5000 0.5000 0.3894
Tc 0.5000 0.5000 0.6106
Ge 0.0000 0.0000 0.5000
Ge 0.5000 0.5000 0.0000


[5]
Starting from DFT lattice parameters and positions (PBE), the X-ray diffraction stick pattern of ZnSi17Ge14 was calculated for a wavelength of 1.5418 Å.
Neutral-atom scattering factors, no anomalous dispersion.

The 6 most intense peaks (10° ≤ 2θ ≤ 90°), most intense first:
d (Å)	I/Imax
1.976	100
3.218	85
3.230	83
1.685	24
1.687	24
1.679	23

Atomic structure:
Cell: 5.6002 3.9321 31.6332 Å, 90.00 90.07 90.00°
Sites, in units of the cell vectors:
Zn 0.0000 0.0000 0.0000
Si 0.0100 0.0000 0.7490
Si 0.0117 0.0000 0.2484
Si 0.0117 0.0000 0.4990
Si 0.0219 0.0000 0.6271
Si 0.2643 0.5000 0.6270
Si 0.2691 0.5000 0.1266
Si 0.2727 0.5000 0.3770
Si 0.5216 0.5000 0.1868
Si 0.5217 0.5000 0.6867
Si 0.5226 0.5000 0.4372
Si 0.5281 0.5000 0.9378
Si 0.7606 0.0000 0.9373
Si 0.7618 0.0000 0.1882
Si 0.7622 0.0000 0.4385
Si 0.7651 0.0000 0.6873
Si 0.7709 0.0000 0.0634
Si 0.7738 0.0000 0.8110
Ge 0.0077 0.0000 0.8753
Ge 0.0179 0.0000 0.1262
Ge 0.0221 0.0000 0.3771
Ge 0.2626 0.5000 0.2484
Ge 0.2635 0.5000 0.4986
Ge 0.2633 0.5000 0.7485
Ge 0.2708 0.5000 0.8764
Ge 0.2751 0.5000 0.9994
Ge 0.5107 0.5000 0.3134
Ge 0.5111 0.5000 0.5639
Ge 0.5232 0.5000 0.0643
Ge 0.5230 0.5000 0.8122
Ge 0.7737 0.0000 0.3121
Ge 0.7767 0.0000 0.5634


[6]
Starting from DFT lattice parameters and positions (PBE), the X-ray diffraction stick pattern of Sm4Ge7 was calculated for a wavelength of 1.5418 Å.
Neutral-atom scattering factors, no anomalous dispersion.

The 6 most intense peaks (10° ≤ 2θ ≤ 90°), most intense first:
d (Å)	I/Imax
2.735	100
2.321	46
3.116	43
2.103	35
1.558	20
1.307	18

Atomic structure:
Cell: 7.5647 7.5647 11.9016 Å, 90.00 90.00 133.71°
Sites, in units of the cell vectors:
Sm 0.0043 0.9957 0.7500
Sm 0.0175 0.5081 0.1198
Sm 0.4865 0.4865 0.5000
Sm 0.4919 0.9825 0.3802
Sm 0.5081 0.0175 0.8802
Sm 0.5135 0.5135 0.0000
Sm 0.9825 0.4919 0.6198
Sm 0.9957 0.0043 0.2500
Ge 0.0708 0.8933 0.4892
Ge 0.0804 0.4256 0.3718
Ge 0.1067 0.9292 0.0108
Ge 0.1798 0.4741 0.8371
Ge 0.4256 0.0804 0.6282
Ge 0.4394 0.5606 0.2500
Ge 0.4741 0.1798 0.1629
Ge 0.5259 0.8202 0.6629
Ge 0.5606 0.4394 0.7500
Ge 0.5744 0.9196 0.1282
Ge 0.8202 0.5259 0.3371
Ge 0.8933 0.0708 0.5108
Ge 0.9196 0.5744 0.8718
Ge 0.9292 0.1067 0.9892


[7]
Starting from DFT lattice parameters and positions (PBE), the X-ray diffraction stick pattern of SrSmGe2 was calculated for a wavelength of 1.5418 Å.
Neutral-atom scattering factors, no anomalous dispersion.

The 6 most intense peaks (10° ≤ 2θ ≤ 90°), most intense first:
d (Å)	I/Imax
3.018	100
2.271	90
3.449	89
3.348	35
1.815	34
2.402	29

Atomic structure:
Cell: 3.4490 6.0386 12.0673 Å, 90.00 90.00 90.00°
Sites, in units of the cell vectors:
Sr 0.0000 0.0000 0.0000
Sr 0.0000 0.5000 0.5000
Sm 0.0000 0.0000 0.6923
Sm 0.0000 0.5000 0.1923
Ge 0.0000 0.0000 0.2538
Ge 0.0000 0.0000 0.4574
Ge 0.0000 0.5000 0.7538
Ge 0.0000 0.5000 0.9574


[8]
Starting from DFT lattice parameters and positions (PBE), the X-ray diffraction stick pattern of SmTmGe2 was calculated for a wavelength of 1.5418 Å.
Neutral-atom scattering factors, no anomalous dispersion.

The 6 most intense peaks (10° ≤ 2θ ≤ 90°), most intense first:
d (Å)	I/Imax
3.242	100
2.933	77
2.175	66
2.868	53
1.733	48
3.203	48

Atomic structure:
Cell: 3.2416 5.8658 11.4708 Å, 90.00 90.00 90.00°
Sites, in units of the cell vectors:
Sm 0.0000 0.0000 0.0000
Sm 0.0000 0.5000 0.5000
Tm 0.0000 0.0000 0.2959
Tm 0.0000 0.5000 0.7959
Ge 0.0000 0.0000 0.5379
Ge 0.0000 0.0000 0.7519
Ge 0.0000 0.5000 0.0379
Ge 0.0000 0.5000 0.2519


[9]
Starting from DFT lattice parameters and positions (PBE), the X-ray diffraction stick pattern of SmYZr2Ge2 was calculated for a wavelength of 1.5418 Å.
Neutral-atom scattering factors, no anomalous dispersion.

The 6 most intense peaks (10° ≤ 2θ ≤ 90°), most intense first:
d (Å)	I/Imax
2.795	100
2.393	99
2.108	65
2.906	42
2.674	38
1.656	35

Atomic structure:
Cell: 4.2168 4.2168 8.0214 Å, 90.00 90.00 90.00°
Sites, in units of the cell vectors:
Sm 0.0000 0.0000 0.0000
Y 0.5000 0.5000 0.3049
Zr 0.0000 0.5000 0.6486
Zr 0.5000 0.0000 0.6486
Ge 0.0000 0.0000 0.3893
Ge 0.5000 0.5000 0.9084


[10]
Starting from DFT lattice parameters and positions (PBE), the X-ray diffraction stick pattern of Tb3Sn4Ge4 was calculated for a wavelength of 1.5418 Å.
Neutral-atom scattering factors, no anomalous dispersion.

The 6 most intense peaks (10° ≤ 2θ ≤ 90°), most intense first:
d (Å)	I/Imax
2.879	100
2.702	51
2.159	34
2.665	27
2.037	26
2.990	22

Atomic structure:
Cell: 9.2620 9.2620 9.2620 Å, 154.59 125.95 60.64°
Sites, in units of the cell vectors:
Tb 0.0000 0.0000 0.0000
Tb 0.3665 0.8665 0.5000
Tb 0.6335 0.1335 0.5000
Sn 0.1954 0.1954 0.0000
Sn 0.3028 0.5000 0.8028
Sn 0.6972 0.5000 0.1972
Sn 0.8046 0.8046 0.0000
Ge 0.0602 0.3251 0.7351
Ge 0.4100 0.6749 0.7351
Ge 0.5900 0.3251 0.2649
Ge 0.9398 0.6749 0.2649


[11]
Starting from DFT lattice parameters and positions (PBE), the X-ray diffraction stick pattern of Sr2ZrGe2 was calculated for a wavelength of 1.5418 Å.
Neutral-atom scattering factors, no anomalous dispersion.

The 6 most intense peaks (10° ≤ 2θ ≤ 90°), most intense first:
d (Å)	I/Imax
2.629	100
3.224	90
2.456	88
2.854	87
2.217	40
3.456	33

Atomic structure:
Cell: 7.2975 10.7822 3.7903 Å, 90.00 90.00 90.00°
Sites, in units of the cell vectors:
Sr 0.0740 0.1660 0.0000
Sr 0.4260 0.6660 0.0000
Sr 0.5740 0.3340 0.0000
Sr 0.9260 0.8340 0.0000
Zr 0.0000 0.5000 0.0000
Zr 0.5000 0.0000 0.0000
Ge 0.2339 0.4107 0.5000
Ge 0.2661 0.9107 0.5000
Ge 0.7339 0.0893 0.5000
Ge 0.7661 0.5893 0.5000


[12]
Starting from DFT lattice parameters and positions (PBE), the X-ray diffraction stick pattern of Tb3Ge4 was calculated for a wavelength of 1.5418 Å.
Neutral-atom scattering factors, no anomalous dispersion.

The 6 most intense peaks (10° ≤ 2θ ≤ 90°), most intense first:
d (Å)	I/Imax
2.615	100
2.694	82
2.984	52
2.150	36
2.045	36
2.347	34

Atomic structure:
Cell: 5.7457 5.7457 14.3422 Å, 90.00 90.00 138.30°
Sites, in units of the cell vectors:
Tb 0.0450 0.9550 0.7500
Tb 0.3300 0.6700 0.5967
Tb 0.3300 0.6700 0.9033
Tb 0.6700 0.3300 0.0967
Tb 0.6700 0.3300 0.4033
Tb 0.9550 0.0450 0.2500
Ge 0.0000 0.0000 0.0000
Ge 0.0000 0.0000 0.5000
Ge 0.2274 0.7726 0.2500
Ge 0.3808 0.6192 0.1087
Ge 0.3808 0.6192 0.3913
Ge 0.6192 0.3808 0.6087
Ge 0.6192 0.3808 0.8913
Ge 0.7726 0.2274 0.7500


[13]
Starting from DFT lattice parameters and positions (PBE), the X-ray diffraction stick pattern of Tb11Ge10 was calculated for a wavelength of 1.5418 Å.
Neutral-atom scattering factors, no anomalous dispersion.

The 6 most intense peaks (10° ≤ 2θ ≤ 90°), most intense first:
d (Å)	I/Imax
2.661	100
2.747	75
2.582	45
2.601	42
2.455	33
2.738	32

Atomic structure:
Cell: 11.3485 11.3485 11.3485 Å, 122.30 122.30 86.07°
Sites, in units of the cell vectors:
Tb 0.0573 0.3095 0.7478
Tb 0.1025 0.4254 0.3229
Tb 0.1025 0.7797 0.6771
Tb 0.1602 0.1602 0.0000
Tb 0.2203 0.8975 0.3229
Tb 0.3095 0.0573 0.7478
Tb 0.3095 0.5618 0.2522
Tb 0.3222 0.3222 0.6444
Tb 0.3222 0.6778 0.0000
Tb 0.4254 0.1025 0.3229
Tb 0.4382 0.6905 0.7478
Tb 0.5618 0.3095 0.2522
Tb 0.5746 0.8975 0.6771
Tb 0.6778 0.3222 0.0000
Tb 0.6778 0.6778 0.3556
Tb 0.6905 0.4382 0.7478
Tb 0.6905 0.9427 0.2522
Tb 0.7797 0.1025 0.6771
Tb 0.8398 0.8398 0.0000
Tb 0.8975 0.2203 0.3229
Tb 0.8975 0.5746 0.6771
Tb 0.9427 0.6905 0.2522
Ge 0.0276 0.0276 0.4194
Ge 0.0276 0.6082 0.0000
Ge 0.1193 0.1193 0.2386
Ge 0.1193 0.8807 0.0000
Ge 0.1375 0.5000 0.6375
Ge 0.2500 0.7500 0.5000
Ge 0.3883 0.3883 0.0000
Ge 0.3918 0.3918 0.4194
Ge 0.3918 0.9724 0.0000
Ge 0.5000 0.1375 0.6375
Ge 0.5000 0.8625 0.3625
Ge 0.6082 0.0276 0.0000
Ge 0.6082 0.6082 0.5806
Ge 0.6117 0.6117 0.0000
Ge 0.7500 0.2500 0.5000
Ge 0.8625 0.5000 0.3625
Ge 0.8807 0.1193 0.0000
Ge 0.8807 0.8807 0.7614
Ge 0.9724 0.3918 0.0000
Ge 0.9724 0.9724 0.5806